Entry 1:
This entry pairs a crystal structure of LiP5Pb2O15 with its computed PXRD pattern. Radiation: Cu Kα X-rays. Structure: a PBE-relaxed structure.

a b c (Å): 5.6040 9.8099 13.5638
angles (deg): 90.00 113.12 90.00
Fractional positions:
Li1 0.0000 0.0152 0.0000
Li2 0.0000 0.9848 0.5000
P1 0.2610 0.1919 0.3943
P2 0.2610 0.8081 0.8943
P3 0.3758 0.4591 0.3248
P4 0.3758 0.5409 0.8248
P5 0.4601 0.4592 0.1259
P6 0.4601 0.5408 0.6259
P7 0.5789 0.1908 0.0572
P8 0.5789 0.8092 0.5572
P9 0.9197 0.0026 0.2261
P10 0.9197 0.9974 0.7261
Pb1 0.9100 0.3124 0.5645
Pb2 0.9100 0.6876 0.0645
Pb3 0.9215 0.3150 0.8833
Pb4 0.9215 0.6850 0.3833
O1 0.0908 0.1655 0.4550
O2 0.0908 0.8345 0.9550
O3 0.1594 0.1059 0.2844
O4 0.1594 0.8941 0.7844
O5 0.1956 0.3464 0.3476
O6 0.1956 0.6536 0.8476
O7 0.1987 0.4701 0.0337
O8 0.1987 0.5299 0.5337
O9 0.2187 0.4125 0.7897
O10 0.2187 0.5875 0.2897
O11 0.2897 0.1688 0.0030
O12 0.2897 0.8312 0.5030
O13 0.4183 0.3879 0.2254
O14 0.4183 0.6121 0.7254
O15 0.5481 0.1729 0.4494
O16 0.5481 0.8271 0.9494
O17 0.6185 0.4128 0.6614
O18 0.6185 0.5872 0.1614
O19 0.6383 0.3457 0.1024
O20 0.6379 0.4705 0.4167
O21 0.6379 0.5295 0.9167
O22 0.6383 0.6543 0.6024
O23 0.6774 0.1045 0.1668
O24 0.6774 0.8955 0.6668
O25 0.7501 0.1668 0.9971
O26 0.7501 0.8332 0.4971
O27 0.8539 0.0755 0.8069
O28 0.8539 0.9245 0.3069
O29 0.9881 0.0713 0.6431
O30 0.9881 0.9287 0.1431

Top 6 peaks for 2θ = 5–70°, low angle first:
d [Å]	two_theta	I (rel.)
9.810	9.01	56
5.154	17.21	56
3.872	22.97	53
3.801	23.41	100
2.761	32.43	55
2.111	42.85	47

***

Entry 2:
This entry pairs a crystal structure of Li2P2PdO7 with its computed PXRD pattern. Radiation: Cu Kα X-rays. Structure: a PBE-relaxed structure.

a b c (Å): 8.1345 8.1345 8.1345
angles (deg): 128.70 72.38 132.65
Fractional positions:
Li1 0.2716 0.0000 0.7716
Li2 0.2716 0.5000 0.2716
Li3 0.7284 0.0000 0.2284
Li4 0.7284 0.5000 0.7284
P1 0.0599 0.4200 0.6399
P2 0.2800 0.4200 0.8601
P3 0.7200 0.5800 0.1399
P4 0.9401 0.5800 0.3601
Pd1 0.5000 0.0000 0.0000
Pd2 0.5000 0.5000 0.5000
O1 0.0563 0.3063 0.7500
O2 0.1817 0.7371 0.4447
O3 0.1859 0.3658 0.4504
O4 0.1859 0.7355 0.8201
O5 0.2076 0.2629 0.9447
O6 0.4154 0.3658 0.6799
O7 0.4154 0.7355 0.0496
O8 0.5846 0.2645 0.9504
O9 0.5846 0.6342 0.3201
O10 0.7924 0.7371 0.0553
O11 0.8141 0.2645 0.1799
O12 0.8141 0.6342 0.5496
O13 0.8183 0.2629 0.5553
O14 0.9437 0.6937 0.2500

Top 6 peaks for 2θ = 5–70°, low angle first:
d [Å]	two_theta	I (rel.)
6.565	13.49	66
5.849	15.15	45
4.790	18.52	49
3.636	24.48	40
3.017	29.61	100
2.315	38.90	37

***

Entry 3:
This entry pairs a crystal structure of LiPr2Zn2P2O2 with its computed PXRD pattern. Radiation: Cu Kα X-rays. Structure: a PBE-relaxed structure.

a b c (Å): 10.4374 10.4374 10.4374
angles (deg): 23.01 23.01 23.01
Fractional positions:
Li1 0.0000 0.0000 0.0000
Pr1 0.1179 0.1179 0.1179
Pr2 0.8821 0.8821 0.8821
Zn1 0.2972 0.2972 0.2972
Zn2 0.7028 0.7028 0.7028
P1 0.3829 0.3829 0.3829
P2 0.6171 0.6171 0.6171
O1 0.1956 0.1956 0.1956
O2 0.8044 0.8044 0.8044

Top 6 peaks for 2θ = 5–70°, low angle first:
d [Å]	two_theta	I (rel.)
3.259	27.37	97
3.103	28.77	94
2.539	35.35	42
2.327	38.69	55
2.081	43.48	100
1.610	57.23	60

***

Entry 4:
This entry pairs a crystal structure of LiPr2Zn2P2O2 with its computed PXRD pattern. Radiation: Cu Kα X-rays. Structure: a PBE-relaxed structure.

a b c (Å): 4.0308 4.0308 11.4243
angles (deg): 101.42 101.42 59.99
Fractional positions:
Li1 0.0000 0.0000 0.0000
Pr1 0.2476 0.2476 0.7773
Pr2 0.8114 0.8114 0.5050
Zn1 0.0514 0.0514 0.2514
Zn2 0.3751 0.3751 0.0966
P1 0.4056 0.4056 0.3151
P2 0.6558 0.6558 0.9721
O1 0.1654 0.1654 0.5607
O2 0.8938 0.8938 0.7217

Top 6 peaks for 2θ = 5–70°, low angle first:
d [Å]	two_theta	I (rel.)
3.425	26.02	58
3.109	28.71	68
2.799	31.98	58
2.780	32.19	41
2.304	39.10	41
2.015	44.99	100

***

Entry 5:
This entry pairs a crystal structure of LiPr2Zn2P2O2 with its computed PXRD pattern. Radiation: Cu Kα X-rays. Structure: a PBE-relaxed structure.

a b c (Å): 10.9521 10.9521 10.9521
angles (deg): 21.16 21.16 21.16
Fractional positions:
Li1 0.0000 0.0000 0.0000
Pr1 0.3889 0.3889 0.3889
Pr2 0.6111 0.6111 0.6111
Zn1 0.1957 0.1957 0.1957
Zn2 0.8043 0.8043 0.8043
P1 0.1163 0.1163 0.1163
P2 0.8837 0.8837 0.8837
O1 0.3078 0.3078 0.3078
O2 0.6922 0.6922 0.6922

Top 6 peaks for 2θ = 5–70°, low angle first:
d [Å]	two_theta	I (rel.)
3.462	25.73	22
3.195	27.93	89
3.061	29.17	100
2.361	38.12	82
2.011	45.09	81
1.915	47.47	26

***

Entry 6:
This entry pairs a crystal structure of LiPr2Zn2P2O2 with its computed PXRD pattern. Radiation: Cu Kα X-rays. Structure: a PBE-relaxed structure.

a b c (Å): 11.3949 11.3949 11.3949
angles (deg): 20.77 20.77 20.77
Fractional positions:
Li1 0.0000 0.0000 0.0000
Pr1 0.1364 0.1364 0.1364
Pr2 0.3846 0.3846 0.3846
Zn1 0.5503 0.5503 0.5503
Zn2 0.9338 0.9338 0.9338
P1 0.6342 0.6342 0.6342
P2 0.8635 0.8635 0.8635
O1 0.0568 0.0568 0.0568
O2 0.4523 0.4523 0.4523

Top 6 peaks for 2θ = 5–70°, low angle first:
d [Å]	two_theta	I (rel.)
11.145	7.93	35
3.273	27.25	100
3.140	28.42	52
2.709	33.07	34
2.054	44.10	74
1.653	55.59	32

***

Entry 7:
This entry pairs a crystal structure of Li2SbP5O15 with its computed PXRD pattern. Radiation: Cu Kα X-rays. Structure: a PBE-relaxed structure.

a b c (Å): 5.4830 14.0844 9.0411
angles (deg): 90.00 101.91 90.00
Fractional positions:
Li1 0.0610 0.1421 0.0715
Li2 0.0610 0.3579 0.0715
Li3 0.9390 0.6421 0.9285
Li4 0.9390 0.8579 0.9285
Sb1 0.5000 0.0000 0.5000
Sb2 0.5000 0.5000 0.5000
P1 0.0075 0.1457 0.5196
P2 0.0075 0.3543 0.5196
P3 0.3252 0.0834 0.8215
P4 0.3252 0.4166 0.8215
P5 0.4568 0.7500 0.9936
P6 0.5432 0.2500 0.0064
P7 0.6748 0.5834 0.1785
P8 0.6748 0.9166 0.1785
P9 0.9925 0.6457 0.4804
P10 0.9925 0.8543 0.4804
O1 0.0622 0.2500 0.4630
O2 0.1263 0.0783 0.4247
O3 0.1263 0.4217 0.4247
O4 0.1566 0.1489 0.6907
O5 0.1566 0.3511 0.6907
O6 0.1728 0.0544 0.9319
O7 0.1728 0.4456 0.9319
O8 0.1952 0.7500 0.9004
O9 0.2669 0.6351 0.4833
O10 0.2669 0.8649 0.4833
O11 0.3133 0.2500 0.0728
O12 0.4555 0.0088 0.7454
O13 0.4555 0.4912 0.7454
O14 0.4630 0.6598 0.1066
O15 0.4630 0.8402 0.1066
O16 0.5370 0.1598 0.8934
O17 0.5370 0.3402 0.8934
O18 0.5445 0.5088 0.2546
O19 0.5445 0.9912 0.2546
O20 0.6867 0.7500 0.9272
O21 0.7331 0.1351 0.5167
O22 0.7331 0.3649 0.5167
O23 0.8048 0.2500 0.0996
O24 0.8272 0.5544 0.0681
O25 0.8272 0.9456 0.0681
O26 0.8434 0.6489 0.3093
O27 0.8434 0.8511 0.3093
O28 0.8737 0.5783 0.5753
O29 0.8737 0.9217 0.5753
O30 0.9378 0.7500 0.5370

Top 6 peaks for 2θ = 5–70°, low angle first:
d [Å]	two_theta	I (rel.)
8.846	10.00	100
5.510	16.09	88
4.423	20.07	85
4.117	21.58	61
3.618	24.60	88
2.946	30.34	74

***

Entry 8:
This entry pairs a crystal structure of Li3Sb2P3O12 with its computed PXRD pattern. Radiation: Cu Kα X-rays. Structure: a PBE-relaxed structure.

a b c (Å): 9.6576 9.6576 9.6576
angles (deg): 54.80 54.80 54.80
Fractional positions:
Li1 0.0672 0.7429 0.3301
Li2 0.2571 0.6699 0.9328
Li3 0.3301 0.0672 0.7429
Li4 0.6699 0.9328 0.2571
Li5 0.7429 0.3301 0.0672
Li6 0.9328 0.2571 0.6699
Sb1 0.1569 0.1569 0.1569
Sb2 0.3488 0.3488 0.3488
Sb3 0.6512 0.6512 0.6512
Sb4 0.8431 0.8431 0.8431
P1 0.0470 0.4475 0.7417
P2 0.2583 0.9530 0.5525
P3 0.4475 0.7417 0.0470
P4 0.5525 0.2583 0.9530
P5 0.7417 0.0470 0.4475
P6 0.9530 0.5525 0.2583
O1 0.0098 0.4057 0.1952
O2 0.1293 0.5772 0.2018
O3 0.1410 0.5133 0.5285
O4 0.1686 0.8260 0.7365
O5 0.1740 0.2635 0.8314
O6 0.1952 0.0098 0.4057
O7 0.2018 0.1293 0.5772
O8 0.2635 0.8314 0.1740
O9 0.4057 0.1952 0.0098
O10 0.4228 0.7982 0.8707
O11 0.4715 0.8590 0.4867
O12 0.4867 0.4715 0.8590
O13 0.5133 0.5285 0.1410
O14 0.5285 0.1410 0.5133
O15 0.5772 0.2018 0.1293
O16 0.5943 0.8048 0.9902
O17 0.7365 0.1686 0.8260
O18 0.7982 0.8707 0.4228
O19 0.8048 0.9901 0.5943
O20 0.8260 0.7365 0.1686
O21 0.8314 0.1740 0.2635
O22 0.8590 0.4867 0.4715
O23 0.8707 0.4228 0.7982
O24 0.9902 0.5943 0.8048

Top 6 peaks for 2θ = 5–70°, low angle first:
d [Å]	two_theta	I (rel.)
6.521	13.58	62
4.798	18.49	73
4.444	19.98	42
3.905	22.77	36
3.261	27.35	35
3.010	29.68	100